Ga7Fe9O24: theoretical powder XRD pattern (Cu Kα, 1.54184 Å), based on a cell relaxed with GGA+U.
Lines closer than 0.1° are merged.

Most intense lines, 2θ from 5° to 70°, most intense first:
2θ 32.5, intensity 100, (1 2 2); 2θ 29.8, intensity 37, (0 1 3); 2θ 60.4, intensity 23, (1 3 5); 2θ 34.6, intensity 22, (2 0 0); 2θ 36.3, intensity 22, (-1 3 1); 2θ 60.5, intensity 16, (-1 3 5); 2θ 27.5, intensity 14, (0 2 -2); 2θ 35.9, intensity 14, (2 0 1); 2θ 59.7, intensity 13, (0 5 3); 2θ 62.3, intensity 13, (3 -3 0)

Structure:
Lattice parameters (Å, degrees): 5.179 8.863 9.548 89.99 89.83 89.90
Space group P1 (No. 1)
Asymmetric unit:
Ga 0.000 0.000 0.000 (multiplicity 1)
Ga 0.001 0.693 0.781 (multiplicity 1)
Ga 0.012 0.006 0.587 (multiplicity 1)
Ga 0.360 0.699 0.087 (multiplicity 1)
Ga 0.514 0.198 0.586 (multiplicity 1)
Ga 0.863 0.506 0.088 (multiplicity 1)
Ga 0.876 0.192 0.279 (multiplicity 1)
Fe 0.015 0.318 0.792 (multiplicity 1)
Fe 0.362 0.381 0.288 (multiplicity 1)
Fe 0.372 0.697 0.507 (multiplicity 1)
Fe 0.374 0.013 0.279 (multiplicity 1)
Fe 0.501 0.199 0.006 (multiplicity 1)
Fe 0.502 0.513 0.780 (multiplicity 1)
Fe 0.512 0.884 0.790 (multiplicity 1)
Fe 0.858 0.821 0.290 (multiplicity 1)
Fe 0.875 0.503 0.503 (multiplicity 1)
O 0.030 0.013 0.390 (multiplicity 1)
O 0.030 0.682 0.415 (multiplicity 1)
O 0.032 0.349 0.385 (multiplicity 1)
O 0.164 0.533 0.662 (multiplicity 1)
O 0.166 0.865 0.151 (multiplicity 1)
O 0.176 0.183 0.647 (multiplicity 1)
O 0.200 0.522 0.148 (multiplicity 1)
O 0.200 0.842 0.657 (multiplicity 1)
O 0.214 0.181 0.164 (multiplicity 1)
O 0.338 0.694 0.890 (multiplicity 1)
O 0.339 0.022 0.917 (multiplicity 1)
O 0.344 0.350 0.886 (multiplicity 1)
O 0.527 0.850 0.386 (multiplicity 1)
O 0.532 0.520 0.416 (multiplicity 1)
O 0.536 0.192 0.390 (multiplicity 1)
O 0.668 0.679 0.663 (multiplicity 1)
O 0.674 0.021 0.648 (multiplicity 1)
O 0.675 0.341 0.155 (multiplicity 1)
O 0.697 0.683 0.147 (multiplicity 1)
O 0.707 0.361 0.655 (multiplicity 1)
O 0.718 0.028 0.162 (multiplicity 1)
O 0.839 0.850 0.887 (multiplicity 1)
O 0.847 0.178 0.918 (multiplicity 1)
O 0.847 0.512 0.890 (multiplicity 1)

---

GaFe2O4: theoretical powder XRD pattern (Cu Kα, 1.54184 Å), based on a cell relaxed with GGA+U.
Lines closer than 0.1° are merged.

Most intense lines, 2θ from 5° to 70°, most intense first:
2θ 35.2, intensity 100, (1 2 1); 2θ 34.8, intensity 94, (1 0 3); 2θ 61.7, intensity 83, (2 2 4); 2θ 35.4, intensity 80, (2 1 1); 2θ 29.7, intensity 44, (1 1 2); 2θ 43.0, intensity 41, (2 2 0); 2θ 18.2, intensity 41, (1 0 1); 2θ 56.9, intensity 30, (3 2 1); 2θ 55.7, intensity 26, (1 0 5); 2θ 42.1, intensity 22, (0 0 4)

Structure:
Lattice parameters (Å, degrees): 5.930 5.977 8.589 90.00 90.00 90.00
Space group Imma (No. 74)
Asymmetric unit:
Ga 0.000 0.000 0.000 (multiplicity 4)
Fe 0.000 0.250 0.367 (multiplicity 4)
Fe 0.250 0.250 0.750 (multiplicity 4)
O 0.000 0.010 0.764 (multiplicity 8)
O 0.231 0.250 0.001 (multiplicity 8)

---

Sr2GaFe2O7: theoretical powder XRD pattern (Cu Kα, 1.54184 Å), based on a cell relaxed with GGA+U.
Lines closer than 0.1° are merged.

Most intense lines, 2θ from 5° to 70°, most intense first:
2θ 32.4, intensity 100, (6 1 1); 2θ 27.9, intensity 94, (4 1 1); 2θ 36.6, intensity 46, (10 0 0); 2θ 48.6, intensity 46, (0 2 2); 2θ 34.1, intensity 40, (0 0 2); 2θ 33.5, intensity 37, (0 2 0); 2θ 50.9, intensity 27, (10 0 2); 2θ 62.4, intensity 26, (10 2 2); 2θ 37.9, intensity 24, (8 1 1); 2θ 65.8, intensity 24, (16 1 1)

Structure:
Lattice parameters (Å, degrees): 24.548 5.343 5.254 90.00 90.00 90.00
Space group Ima2 (No. 46)
Asymmetric unit:
Sr 0.152 0.008 0.000 (multiplicity 8)
Ga 0.250 0.573 0.056 (multiplicity 4)
Fe 0.059 0.503 0.001 (multiplicity 8)
O 0.069 0.250 0.252 (multiplicity 8)
O 0.072 0.749 0.252 (multiplicity 8)
O 0.178 0.028 0.485 (multiplicity 8)
O 0.250 0.596 0.420 (multiplicity 4)